1.
Al2TcAu: theoretical powder diffraction line list (Cu Kα X-rays), based on a cell relaxed with PBE.
Kinematic intensities with the Lorentz-polarization factor, no thermal factor.

Cell and atoms:
Cell lengths 3.6877, 3.6877, 8.9770 Å; angles 90.00, 90.00, 90.00 degrees
Sites, in units of the cell vectors:
Al: 0.0000 0.0000 0.0000
Al: 0.0000 0.5000 0.2500
Al: 0.5000 0.0000 0.7500
Al: 0.5000 0.5000 0.5000
Tc: 0.0000 0.0000 0.5000
Tc: 0.5000 0.5000 0.0000
Au: 0.0000 0.5000 0.7500
Au: 0.5000 0.0000 0.2500

Most intense lines, 15 to 90 degrees two-theta, sorted by position:
d [Å]	Rel. int.
3.411	84.0
2.324	30.7
2.255	100.0
2.244	24.7
1.844	27.1
1.622	20.5
1.425	23.2
1.129	22.6

***

2.
LiNi6Rh: theoretical powder diffraction line list (Cu Kα X-rays), based on a cell relaxed with PBE.
Kinematic intensities with the Lorentz-polarization factor, no thermal factor.

Cell and atoms:
Cell lengths 6.1961, 6.1961, 10.1418 Å; angles 90.00, 90.00, 109.77 degrees
Sites, in units of the cell vectors:
Li: 0.0000 0.0000 0.2470
Li: 0.0000 0.0000 0.7530
Li: 0.2541 0.7459 0.0000
Li: 0.7459 0.2541 0.0000
Ni: 0.0000 0.0000 0.0000
Ni: 0.0000 0.0000 0.5000
Ni: 0.1207 0.3718 0.1228
Ni: 0.1207 0.3718 0.8772
Ni: 0.1242 0.3727 0.3722
Ni: 0.1242 0.3727 0.6278
Ni: 0.2497 0.7503 0.2476
Ni: 0.2497 0.7503 0.7524
Ni: 0.3718 0.1207 0.1228
Ni: 0.3718 0.1207 0.8772
Ni: 0.3727 0.1242 0.3722
Ni: 0.3727 0.1242 0.6278
Ni: 0.5000 0.5000 0.0000
Ni: 0.5000 0.5000 0.5000
Ni: 0.6273 0.8758 0.3722
Ni: 0.6273 0.8758 0.6278
Ni: 0.6282 0.8793 0.1228
Ni: 0.6282 0.8793 0.8772
Ni: 0.7503 0.2497 0.2476
Ni: 0.7503 0.2497 0.7524
Ni: 0.8758 0.6273 0.3722
Ni: 0.8758 0.6273 0.6278
Ni: 0.8793 0.6282 0.1228
Ni: 0.8793 0.6282 0.8772
Rh: 0.2483 0.7517 0.5000
Rh: 0.5000 0.5000 0.2446
Rh: 0.5000 0.5000 0.7554
Rh: 0.7517 0.2483 0.5000

Most intense lines, 15 to 90 degrees two-theta, sorted by position:
d [Å]	Rel. int.
5.831	6.5
4.534	4.1
3.826	5.7
2.066	100.0
1.792	31.3
1.782	15.4
1.267	9.1
1.264	18.1

***

3.
AlHg4Pb: theoretical powder diffraction line list (Cu Kα X-rays), based on a cell relaxed with PBE.
Kinematic intensities with the Lorentz-polarization factor, no thermal factor.

Cell and atoms:
Cell lengths 6.0740, 6.0740, 6.0740 Å; angles 60.00, 60.00, 60.00 degrees
Sites, in units of the cell vectors:
Al: 0.0000 0.0000 0.0000
Hg: 0.1241 0.6253 0.6253
Hg: 0.6253 0.1241 0.6253
Hg: 0.6253 0.6253 0.1241
Hg: 0.6253 0.6253 0.6253
Pb: 0.2500 0.2500 0.2500

Most intense lines, 15 to 90 degrees two-theta, sorted by position:
d [Å]	Rel. int.
4.959	34.4
2.590	100.0
2.480	59.7
2.147	14.3
1.653	35.3
1.518	31.9
1.295	24.1
1.118	23.9